[1]
Calculated powder X-ray diffraction pattern of Ho3Si2B for λ = 1.5418 Å (Cu Kα), from a cell relaxed with GGA-PBE.

Peak list (6 most intense, 2θ from 5° to 70°, sorted by position)
2theta	d (Å)	I (rel.)
26.5	3.360	38
28.7	3.108	47
30.1	2.970	38
32.9	2.719	42
33.4	2.683	100
35.3	2.543	42

```
data_Ho3Si2B
_cell_length_a 11.0061
_cell_length_b 3.7002
_cell_length_c 11.7024
_cell_angle_alpha 90.00
_cell_angle_beta 90.00
_cell_angle_gamma 90.00
_space_group_name_H-M_alt 'P n m a'
_space_group_IT_number 62
_space_group_name_Hall '-P 2ac 2n'
loop_
_atom_site_label
_atom_site_type_symbol
_atom_site_fract_x
_atom_site_fract_y
_atom_site_fract_z
Ho1 Ho 0.0703 0.2500 0.1252
Ho2 Ho 0.1135 0.7500 0.5512
Ho3 Ho 0.2028 0.2500 0.7873
Si1 Si 0.0408 0.7500 0.3182
Si2 Si 0.1972 0.7500 0.9731
B1 B 0.1347 0.2500 0.3739
```

---

[2]
Calculated powder X-ray diffraction pattern of Ac2Pm4Y for λ = 1.5418 Å (Cu Kα), from a cell relaxed with GGA-PBE.

Peak list (6 most intense, 2θ from 5° to 70°, sorted by position)
2theta	d (Å)	I (rel.)
29.2	3.062	100
30.5	2.931	73
32.8	2.730	23
34.3	2.614	56
49.9	1.827	48
58.1	1.587	29

```
data_Ac2Pm4Y
_cell_length_a 3.6990
_cell_length_b 38.2201
_cell_length_c 3.7113
_cell_angle_alpha 90.00
_cell_angle_beta 90.00
_cell_angle_gamma 90.00
_space_group_name_H-M_alt 'C m m m'
_space_group_IT_number 65
_space_group_name_Hall '-C 2 2'
loop_
_atom_site_label
_atom_site_type_symbol
_atom_site_fract_x
_atom_site_fract_y
_atom_site_fract_z
Ac1 Ac 0.0000 0.2048 0.0000
Pm1 Pm 0.0000 0.0657 0.0000
Pm2 Pm 0.0000 0.3680 0.5000
Y1 Y 0.0000 0.5000 0.5000
```